No. 1
The following is a simulated PXRD pattern of Ga2I2Cl. It was derived from a structure optimized by DFT (PBE), using Cu Kα (weighted mean of Kα1 and Kα2).
Intensities are scaled so that the largest is 100.

```
10
Lattice="7.607 0.000 0.000 3.752 6.953 0.000 3.777 2.032 6.654" Properties=species:S:1:pos:R:3 pbc="T T T"
Ga 2.306 2.368 1.493
Ga 5.250 2.373 1.497
Ga 9.886 6.612 5.157
Ga 12.830 6.617 5.160
I 5.647 3.833 5.411
I 5.685 5.156 1.239
I 9.451 3.829 5.415
I 9.489 5.152 1.243
Cl 7.555 7.162 4.417
Cl 7.581 1.823 2.237
```

Principal peaks in the range 10° ≤ 2θ ≤ 90°, low angle first:
| d_spacing | I/Imax |
| --- | --- |
| 6.652 | 47 |
| 3.804 | 67 |
| 3.398 | 50 |
| 3.326 | 100 |
| 3.305 | 25 |
| 2.542 | 17 |
| 2.526 | 16 |
| 2.509 | 28 |
| 2.218 | 28 |
| 1.919 | 19 |


No. 2
The following is a simulated PXRD pattern of Sm8DyEr3. It was derived from a structure optimized by DFT (PBE), using Cu Kα (weighted mean of Kα1 and Kα2).
Intensities are scaled so that the largest is 100.

```
12
Lattice="3.494 -5.962 0.000 3.494 5.962 0.000 -2.397 0.000 9.469" Properties=species:S:1:pos:R:3 pbc="T T T"
Sm 1.406 3.007 6.313
Sm 0.859 0.000 1.553
Sm 3.185 3.007 3.156
Sm 0.251 0.000 7.875
Sm 4.340 0.000 1.594
Sm 1.406 -3.007 6.313
Sm 3.732 0.000 7.916
Sm 3.185 -3.007 3.156
Dy 2.295 0.000 4.735
Er -1.199 0.000 4.735
Er 1.747 2.981 0.000
Er 1.747 -2.981 0.000
```

Principal peaks in the range 10° ≤ 2θ ≤ 90°, low angle first:
| d_spacing | I/Imax |
| --- | --- |
| 2.981 | 60 |
| 2.967 | 58 |
| 2.790 | 100 |
| 2.781 | 97 |
| 2.103 | 44 |
| 1.859 | 15 |
| 1.681 | 44 |
| 1.678 | 22 |
| 1.673 | 21 |
| 1.578 | 27 |


No. 3
The following is a simulated PXRD pattern of ZrSc2Rh. It was derived from a structure optimized by DFT (PBE), using Cu Kα (weighted mean of Kα1 and Kα2).
Intensities are scaled so that the largest is 100.

```
8
Lattice="3.363 0.000 0.000 0.000 4.838 0.000 0.000 0.000 9.972" Properties=species:S:1:pos:R:3 pbc="T T T"
Zr 0.000 0.000 0.000
Zr 1.681 2.419 4.986
Sc 0.000 2.419 2.126
Sc 0.000 2.419 7.846
Sc 1.681 0.000 2.860
Sc 1.681 0.000 7.112
Rh 0.000 0.000 4.986
Rh 1.681 2.419 0.000
```

Principal peaks in the range 10° ≤ 2θ ≤ 90°, low angle first:
| d_spacing | I/Imax |
| --- | --- |
| 4.986 | 23 |
| 2.761 | 9 |
| 2.493 | 18 |
| 2.416 | 100 |
| 1.850 | 10 |
| 1.736 | 11 |
| 1.681 | 7 |
| 1.424 | 9 |
| 1.396 | 13 |
| 1.381 | 7 |


- Number 3 is which compound?
  ZrSc2Rh


- Number 2 is which compound?
  Sm8DyEr3